This entry pairs a crystal structure of Ta5Co7 with its theoretical powder diffractogram. Radiation: a wavelength of 1.5418 Å. Structure: a DFT-relaxed cell (PBE, OQMD).
Lines closer than 0.1° are merged.

Main lines, sorted by position (5 to 70 degrees two-theta):
- hkl 0 0 2, d = 7.811 Å, I 79
- hkl 1 0 4, d = 2.916 Å, I 60
- hkl 1 0 6, d = 2.239 Å, I 55
- hkl 2 0 0, d = 2.192 Å, I 45
- hkl 1 1 4, d = 2.124 Å, I 100
- hkl 2 0 2, d = 2.111 Å, I 96
- hkl 0 0 8, d = 1.953 Å, I 24
- hkl 2 1 4, d = 1.526 Å, I 21
- hkl 2 0 8, d = 1.458 Å, I 25
- hkl 3 0 4, d = 1.369 Å, I 24

Structural model:
```
Ta5Co7
1.0
5.0633 0.0000 0.0000
-2.5317 4.3850 0.0000
0.0000 0.0000 15.6222
Ta Co
10 14
Direct
0.0000 0.0000 0.1088
0.0000 0.0000 0.3912
0.0000 0.0000 0.6088
0.0000 0.0000 0.8912
0.0000 0.5000 0.0000
0.0000 0.5000 0.5000
0.5000 0.0000 0.0000
0.5000 0.0000 0.5000
0.5000 0.5000 0.0000
0.5000 0.5000 0.5000
0.1588 0.3176 0.2500
0.1588 0.8412 0.2500
0.3176 0.1588 0.7500
0.3333 0.6667 0.1362
0.3333 0.6667 0.3638
0.3333 0.6667 0.6660
0.3333 0.6667 0.8340
0.6667 0.3333 0.1660
0.6667 0.3333 0.3340
0.6667 0.3333 0.6362
0.6667 0.3333 0.8638
0.6824 0.8412 0.2500
0.8412 0.1588 0.7500
0.8412 0.6824 0.7500
```